Record 1
For Cd4IrOs, a PBE-relaxed structure gives the simulated powder diffractogram in this record (Cu Kα X-rays).
Intensities are scaled so that the largest is 100.

Atomic structure:
```
data_Cd4IrOs
_space_group_name_H-M_alt 'F -4 3 m'
_space_group_IT_number 216
_space_group_name_Hall 'F -4 2 3'
_cell_length_a 7.6215
_cell_length_b 7.6215
_cell_length_c 7.6215
_cell_angle_alpha 90.00
_cell_angle_beta 90.00
_cell_angle_gamma 90.00
loop_
_atom_site_label
_atom_site_type_symbol
_atom_site_fract_x
_atom_site_fract_y
_atom_site_fract_z
Cd1 Cd 0.1251 0.1251 0.1251
Ir1 Ir 0.2500 0.2500 0.7500
Os1 Os 0.0000 0.0000 0.5000
```

Largest 10 diffraction maxima, in order of rising 2θ, 2θ from 15° to 90°:
2theta  intensity  (hkl)
20.18  0.7  1 1 1
33.25  44.9  2 2 0
39.20  100.0  3 1 1
41.02  25.1  2 2 2
59.41  17.4  4 2 2
63.42  31.8  5 1 1
69.81  25.2  4 4 0
79.54  7.6  6 2 0
83.10  11.3  5 3 3
84.28  8.8  6 2 2

***

Record 2
For Cd2P4Ir, a PBE-relaxed structure gives the simulated powder diffractogram in this record (Cu Kα X-rays).
Intensities are scaled so that the largest is 100.

Atomic structure:
```
data_Cd2P4Ir
_space_group_name_H-M_alt 'I 4/m m m'
_space_group_IT_number 139
_space_group_name_Hall '-I 4 2'
_cell_length_a 4.4242
_cell_length_b 4.4242
_cell_length_c 15.9111
_cell_angle_alpha 90.00
_cell_angle_beta 90.00
_cell_angle_gamma 90.00
loop_
_atom_site_label
_atom_site_type_symbol
_atom_site_fract_x
_atom_site_fract_y
_atom_site_fract_z
Cd1 Cd 0.0000 0.0000 0.1652
P1 P 0.0000 0.0000 0.3420
P2 P 0.0000 0.5000 0.0000
Ir1 Ir 0.0000 0.0000 0.5000
```

Largest 12 diffraction maxima, in order of rising 2θ, 2θ from 15° to 90°:
2theta  intensity  (hkl)
20.84  15.6  1 0 1
26.23  100.0  1 0 3
28.53  56.2  1 1 0
33.80  29.8  0 0 6
40.79  35.4  2 0 0
44.81  34.4  1 1 6
49.15  36.8  2 1 3
53.98  30.1  2 0 6
56.02  12.7  1 0 9
69.81  13.8  2 2 6
71.57  12.1  2 1 9
77.07  13.2  3 1 6

***

Record 3
For Pm2CdIr2, a PBE-relaxed structure gives the simulated powder diffractogram in this record (Cu Kα X-rays).
Intensities are scaled so that the largest is 100.

Atomic structure:
```
data_Pm2CdIr2
_space_group_name_H-M_alt 'I m m m'
_space_group_IT_number 71
_space_group_name_Hall '-I 2 2'
_cell_length_a 4.4892
_cell_length_b 6.0033
_cell_length_c 8.4800
_cell_angle_alpha 90.00
_cell_angle_beta 90.00
_cell_angle_gamma 90.00
loop_
_atom_site_label
_atom_site_type_symbol
_atom_site_fract_x
_atom_site_fract_y
_atom_site_fract_z
Pm1 Pm 0.0000 0.0000 0.2095
Cd1 Cd 0.0000 0.5000 0.0000
Ir1 Ir 0.0000 0.2894 0.5000
```

Largest 12 diffraction maxima, in order of rising 2θ, 2θ from 15° to 90°:
2theta  intensity  (hkl)
20.95  15.9  0 0 2
22.41  17.1  1 0 1
32.66  82.8  1 1 2
36.68  31.6  0 2 2
37.58  100.0  1 2 1
40.17  33.8  2 0 0
42.65  19.3  0 0 4
55.53  19.6  2 2 2
56.34  16.2  0 3 3
66.68  25.9  1 2 5
71.30  15.5  3 2 1
71.44  15.9  2 3 3

***

Record 4
For Pr6CdIr2, a PBE-relaxed structure gives the simulated powder diffractogram in this record (Cu Kα X-rays).
Intensities are scaled so that the largest is 100.

Atomic structure:
```
data_Pr6CdIr2
_space_group_name_H-M_alt 'C 1 2/m 1'
_space_group_IT_number 12
_cell_length_a 10.5844
_cell_length_b 5.1919
_cell_length_c 9.5151
_cell_angle_alpha 90.00
_cell_angle_beta 101.56
_cell_angle_gamma 90.00
loop_
_space_group_symop_operation_xyz
'x,y,z'
'-x,-y,-z'
'-x,y,-z'
'x,-y,z'
'x+1/2,y+1/2,z'
'-x+1/2,-y+1/2,-z'
'-x+1/2,y+1/2,-z'
'x+1/2,-y+1/2,z'
loop_
_atom_site_label
_atom_site_type_symbol
_atom_site_fract_x
_atom_site_fract_y
_atom_site_fract_z
Pr1 Pr 0.0367 0.0000 0.3479
Pr2 Pr 0.1610 0.5000 0.8894
Pr3 Pr 0.2099 0.5000 0.3340
Cd1 Cd 0.0000 0.0000 0.0000
Ir1 Ir 0.1203 0.5000 0.5965
```

Largest 12 diffraction maxima, in order of rising 2θ, 2θ from 15° to 90°:
2theta  intensity  (hkl)
28.73  21.6  0 0 3
30.96  16.0  3 1 -1
31.08  100.0  3 1 0
33.22  47.4  1 1 -3
33.77  18.8  3 1 -2
34.11  25.5  3 1 1
34.55  61.9  0 2 0
36.57  15.5  2 0 3
38.63  16.1  0 0 4
38.95  31.3  3 1 -3
39.45  21.5  3 1 2
59.75  17.9  3 3 0

***

Record 5
For Pr6CdIr3, a PBE-relaxed structure gives the simulated powder diffractogram in this record (Cu Kα X-rays).
Intensities are scaled so that the largest is 100.

Atomic structure:
```
data_Pr6CdIr3
_space_group_name_H-M_alt 'C m c 21'
_space_group_IT_number 36
_cell_length_a 11.5355
_cell_length_b 13.5756
_cell_length_c 7.3403
_cell_angle_alpha 90.00
_cell_angle_beta 90.00
_cell_angle_gamma 90.00
loop_
_space_group_symop_operation_xyz
'x,y,z'
'-x,-y,z+1/2'
'-x,y,z'
'x,-y,z+1/2'
'x+1/2,y+1/2,z'
'-x+1/2,-y+1/2,z+1/2'
'-x+1/2,y+1/2,z'
'x+1/2,-y+1/2,z+1/2'
loop_
_atom_site_label
_atom_site_type_symbol
_atom_site_fract_x
_atom_site_fract_y
_atom_site_fract_z
Pr1 Pr 0.0000 0.0616 0.0000
Pr2 Pr 0.0000 0.2120 0.5367
Pr3 Pr 0.1582 0.4706 0.4733
Pr4 Pr 0.2155 0.2805 0.8658
Cd1 Cd 0.0000 0.3263 0.1500
Ir1 Ir 0.0000 0.3874 0.7674
Ir2 Ir 0.1735 0.0902 0.6878
```

Largest 12 diffraction maxima, in order of rising 2θ, 2θ from 15° to 90°:
2theta  intensity  (hkl)
15.73  34.8  1 1 1
23.59  16.0  2 2 1
24.36  22.0  1 3 1
28.99  36.0  0 4 1
30.53  18.7  3 3 0
31.76  26.2  2 2 2
32.93  96.3  3 3 1
34.42  100.0  3 1 2
36.03  40.8  0 4 2
39.14  22.6  0 2 3
40.68  29.7  3 5 0
47.27  20.9  6 0 0

***

- Which formula does entry 5 have?
  Pr6CdIr3